LiV4O8: simulated XRD peak list (Cu Kα (λ = 1.5418 Å)), based on a crystal structure in the Materials Project, relaxed with GGA+U.
Intensities are scaled so that the largest is 100.

Structure:
abc: 5.4612 5.4704 6.2558
angles: 91.86 91.18 115.66
Space group P1 (No. 1)
Asymmetric unit:
Li 0.0000 0.0000 0.0000 x1
V 0.2216 0.7712 0.2630 x1
V 0.2306 0.7852 0.7281 x1
V 0.5548 0.4487 0.4946 x1
V 0.7420 0.2621 0.9955 x1
O 0.3717 0.0509 0.9856 x1
O 0.3805 0.0656 0.4859 x1
O 0.4167 0.5647 0.7124 x1
O 0.4423 0.5851 0.2758 x1
O 0.8497 0.1393 0.7889 x1
O 0.8587 0.1582 0.2059 x1
O 0.9382 0.6231 0.5050 x1
O 0.9565 0.6319 0.0052 x1

Largest 10 diffraction maxima, by intensity, 2θ = 10–90°:
19.18 deg, intensity 100, (1 -1 0); 30.76 deg, intensity 69, (1 1 0); 32.87 deg, intensity 41, (2 -1 0); 34.57 deg, intensity 40, (1 0 2); 23.47 deg, intensity 40, (1 0 1); 34.73 deg, intensity 39, (0 1 2); 33.25 deg, intensity 30, (0 1 -2); 33.38 deg, intensity 29, (1 0 -2); 18.02 deg, intensity 25, (1 0 0); 22.47 deg, intensity 24, (0 1 -1)